# 1
Simulated PXRD pattern of TbPm2Cd2Hg2 for Cu Kα, from DFT lattice parameters and positions (PBE).
Neutral-atom scattering factors, no anomalous dispersion.

Principal peaks in the range 10° ≤ 2θ ≤ 80°, in order of rising 2θ:
| Position (°2θ) | I_rel |
| --- | --- |
| 19.8 | 12.7 |
| 24.6 | 16.6 |
| 26.6 | 12.9 |
| 31.2 | 31.6 |
| 33.8 | 78.4 |
| 36.2 | 100.0 |
| 41.6 | 11.5 |
| 50.4 | 25.4 |
| 63.7 | 25.1 |
| 64.1 | 26.8 |
| 65.2 | 20.0 |
| 76.9 | 13.8 |

Cell and atoms:
Cell: 4.9568 4.9568 26.9195 Å, 90.00 90.00 120.00°
Space group R-3m (No. 166, hexagonal axes)
Inequivalent atoms, fractional coordinates:
Tb  0.0000  0.0000  0.0000
Pm  0.0000  0.0000  0.1251
Cd  0.0000  0.0000  0.2615
Hg  0.0000  0.0000  0.3941

# 2
Simulated PXRD pattern of Pr4CdHg3 for Cu Kα, from DFT lattice parameters and positions (PBE).
Neutral-atom scattering factors, no anomalous dispersion.

Principal peaks in the range 10° ≤ 2θ ≤ 80°, in order of rising 2θ:
| Position (°2θ) | I_rel |
| --- | --- |
| 28.8 | 21.8 |
| 30.5 | 100.0 |
| 32.1 | 28.6 |
| 34.0 | 62.6 |
| 35.8 | 42.4 |
| 36.9 | 71.2 |
| 48.2 | 18.4 |
| 48.9 | 17.9 |
| 57.5 | 19.6 |
| 60.3 | 24.2 |
| 61.5 | 17.7 |
| 69.6 | 22.2 |

Cell and atoms:
Cell: 3.7749 5.0154 12.3997 Å, 90.00 90.00 90.00°
Space group Pmm2 (No. 25)
Inequivalent atoms, fractional coordinates:
Pr  0.0000  0.0000  0.0000
Pr  0.0000  0.5000  0.3007
Pr  0.5000  0.0000  0.4967
Pr  0.5000  0.5000  0.8038
Cd  0.0000  0.0000  0.7241
Hg  0.0000  0.5000  0.5747
Hg  0.5000  0.0000  0.2278
Hg  0.5000  0.5000  0.0727

# 3
Simulated PXRD pattern of Pr2Cd3Hg4 for Cu Kα, from DFT lattice parameters and positions (PBE).
Neutral-atom scattering factors, no anomalous dispersion.

Principal peaks in the range 10° ≤ 2θ ≤ 80°, in order of rising 2θ:
| Position (°2θ) | I_rel |
| --- | --- |
| 21.9 | 11.3 |
| 33.9 | 100.0 |
| 34.8 | 95.6 |
| 41.5 | 2.4 |
| 49.4 | 34.7 |
| 51.3 | 4.4 |
| 55.3 | 2.2 |
| 60.1 | 18.0 |
| 61.8 | 35.2 |
| 62.4 | 17.6 |
| 71.3 | 10.8 |
| 73.5 | 10.9 |

Cell and atoms:
Cell: 8.9254 5.1532 9.8488 Å, 90.00 90.05 90.00°
Space group C2/m (No. 12)
Inequivalent atoms, fractional coordinates:
Pr  0.1665  0.0000  0.2828
Cd  0.0000  0.5000  0.5000
Cd  0.1671  0.0000  0.9324
Hg  0.9995  0.5000  0.1551
Hg  0.1667  0.0000  0.6055

# 4
Simulated PXRD pattern of Pr4Cd2Hg for Cu Kα, from DFT lattice parameters and positions (PBE).
Neutral-atom scattering factors, no anomalous dispersion.

Principal peaks in the range 10° ≤ 2θ ≤ 80°, in order of rising 2θ:
| Position (°2θ) | I_rel |
| --- | --- |
| 14.1 | 14.0 |
| 21.8 | 11.9 |
| 33.0 | 100.0 |
| 33.2 | 24.8 |
| 33.3 | 24.4 |
| 47.7 | 17.8 |
| 58.8 | 10.4 |
| 58.9 | 9.4 |
| 59.1 | 18.5 |
| 59.4 | 18.4 |
| 69.3 | 11.5 |
| 79.4 | 11.9 |

Cell and atoms:
Cell: 7.7204 10.8090 5.3763 Å, 90.00 90.00 90.00°
Space group Cmmm (No. 65)
Inequivalent atoms, fractional coordinates:
Pr  0.2438  0.0000  0.0000
Pr  0.2500  0.2500  0.5000
Cd  0.0000  0.2537  0.0000
Hg  0.0000  0.5000  0.5000

# 5
Simulated PXRD pattern of PrCd6Hg for Cu Kα, from DFT lattice parameters and positions (PBE).
Neutral-atom scattering factors, no anomalous dispersion.

Principal peaks in the range 10° ≤ 2θ ≤ 80°, in order of rising 2θ:
| Position (°2θ) | I_rel |
| --- | --- |
| 27.3 | 7.1 |
| 32.3 | 72.9 |
| 34.5 | 100.0 |
| 40.8 | 38.6 |
| 44.5 | 10.6 |
| 54.4 | 32.9 |
| 56.3 | 7.9 |
| 60.4 | 11.9 |
| 61.8 | 17.8 |
| 67.7 | 26.8 |
| 71.5 | 14.5 |
| 72.7 | 10.9 |

Cell and atoms:
Cell: 6.0082 6.0082 6.5398 Å, 90.00 90.00 120.00°
Space group P6/mmm (No. 191)
Inequivalent atoms, fractional coordinates:
Pr  0.0000  0.0000  0.0000
Cd  0.0000  0.5000  0.2513
Hg  0.0000  0.0000  0.5000

# 6
Simulated PXRD pattern of PrCd6Hg4 for Cu Kα, from DFT lattice parameters and positions (PBE).
Neutral-atom scattering factors, no anomalous dispersion.

Principal peaks in the range 10° ≤ 2θ ≤ 80°, in order of rising 2θ:
| Position (°2θ) | I_rel |
| --- | --- |
| 23.0 | 27.6 |
| 30.0 | 81.3 |
| 30.5 | 40.8 |
| 32.2 | 59.1 |
| 38.1 | 100.0 |
| 40.3 | 29.6 |
| 42.1 | 29.5 |
| 45.4 | 26.7 |
| 48.1 | 24.4 |
| 62.3 | 19.6 |
| 63.6 | 18.6 |
| 71.9 | 24.1 |

Cell and atoms:
Cell: 8.9415 8.9415 3.9952 Å, 90.00 90.00 120.00°
Space group P-6 (No. 174)
Inequivalent atoms, fractional coordinates:
Pr  0.0000  0.0000  0.0000
Cd  0.1014  0.5191  0.0000
Cd  0.3931  0.1428  0.5000
Hg  0.1175  0.7757  0.5000
Hg  0.6667  0.3333  0.0000

# 7
Simulated PXRD pattern of Pr3Cd2Hg2 for Cu Kα, from DFT lattice parameters and positions (PBE).
Neutral-atom scattering factors, no anomalous dispersion.

Principal peaks in the range 10° ≤ 2θ ≤ 80°, in order of rising 2θ:
| Position (°2θ) | I_rel |
| --- | --- |
| 19.4 | 50.4 |
| 26.6 | 27.2 |
| 30.9 | 22.4 |
| 31.5 | 61.0 |
| 33.2 | 35.3 |
| 33.3 | 32.7 |
| 33.7 | 30.2 |
| 33.9 | 31.9 |
| 34.1 | 72.6 |
| 34.7 | 100.0 |
| 44.1 | 32.1 |
| 47.0 | 20.6 |

Cell and atoms:
Cell: 5.2546 5.4085 8.9295 Å, 101.89 90.12 118.75°
Space group P-1 (No. 2)
Inequivalent atoms, fractional coordinates:
Pr  0.0000  0.0000  0.0000
Pr  0.2799  0.5631  0.7041
Cd  0.3582  0.7140  0.1333
Hg  0.0632  0.1192  0.3618

# 8
Simulated PXRD pattern of Pr3Cd2Hg7 for Cu Kα, from DFT lattice parameters and positions (PBE).
Neutral-atom scattering factors, no anomalous dispersion.

Principal peaks in the range 10° ≤ 2θ ≤ 80°, in order of rising 2θ:
| Position (°2θ) | I_rel |
| --- | --- |
| 22.7 | 7.4 |
| 30.5 | 21.4 |
| 33.9 | 100.0 |
| 36.0 | 10.1 |
| 36.4 | 24.4 |
| 39.2 | 19.8 |
| 42.2 | 8.1 |
| 54.6 | 15.3 |
| 63.8 | 16.2 |
| 65.4 | 12.4 |
| 67.7 | 13.6 |
| 71.3 | 7.5 |

Cell and atoms:
Cell: 4.9426 29.9636 4.5925 Å, 90.00 90.00 90.00°
Space group Cmmm (No. 65)
Inequivalent atoms, fractional coordinates:
Pr  0.0000  0.0000  0.0000
Pr  0.0000  0.1549  0.0000
Cd  0.0000  0.3475  0.5000
Hg  0.0000  0.0773  0.5000
Hg  0.0000  0.2267  0.5000
Hg  0.0000  0.4198  0.0000
Hg  0.0000  0.5000  0.5000

# 9
Simulated PXRD pattern of Pr11Cd9Hg4 for Cu Kα, from DFT lattice parameters and positions (PBE).
Neutral-atom scattering factors, no anomalous dispersion.

Principal peaks in the range 10° ≤ 2θ ≤ 80°, in order of rising 2θ:
| Position (°2θ) | I_rel |
| --- | --- |
| 30.1 | 7.7 |
| 31.2 | 8.0 |
| 32.7 | 100.0 |
| 32.9 | 51.5 |
| 34.9 | 9.3 |
| 46.8 | 6.7 |
| 47.2 | 12.5 |
| 47.2 | 6.8 |
| 58.4 | 9.8 |
| 58.6 | 33.3 |
| 68.6 | 6.6 |
| 78.4 | 8.4 |

Cell and atoms:
Cell: 15.3978 23.2954 3.8546 Å, 90.00 90.00 90.00°
Space group Cmmm (No. 65)
Inequivalent atoms, fractional coordinates:
Pr  0.0000  0.0000  0.0000
Pr  0.0000  0.1673  0.0000
Pr  0.0000  0.3565  0.0000
Pr  0.2325  0.5000  0.0000
Pr  0.2372  0.1745  0.0000
Cd  0.0000  0.5000  0.5000
Cd  0.1071  0.2609  0.5000
Cd  0.1303  0.0775  0.5000
Hg  0.1471  0.4055  0.5000

# 10
Simulated PXRD pattern of Pr6CdHg3 for Cu Kα, from DFT lattice parameters and positions (PBE).
Neutral-atom scattering factors, no anomalous dispersion.

Principal peaks in the range 10° ≤ 2θ ≤ 80°, in order of rising 2θ:
| Position (°2θ) | I_rel |
| --- | --- |
| 31.3 | 39.5 |
| 32.4 | 100.0 |
| 32.6 | 92.7 |
| 32.7 | 57.1 |
| 35.5 | 22.3 |
| 46.0 | 27.6 |
| 47.2 | 15.1 |
| 56.3 | 7.9 |
| 58.2 | 20.9 |
| 58.4 | 17.9 |
| 58.7 | 16.3 |
| 67.8 | 7.7 |

Cell and atoms:
Cell: 9.5400 5.4701 12.0873 Å, 90.00 107.64 90.00°
Space group P2_1/m (No. 11)
Inequivalent atoms, fractional coordinates:
Pr  0.0309  0.2500  0.4081
Pr  0.1578  0.7500  0.1814
Pr  0.2381  0.2500  0.9977
Pr  0.3451  0.7500  0.8072
Pr  0.3711  0.2500  0.3486
Pr  0.4047  0.2500  0.6250
Cd  0.4555  0.7500  0.0920
Hg  0.0330  0.7500  0.8777
Hg  0.1209  0.2500  0.7158
Hg  0.2709  0.7500  0.4751

# 11
Simulated PXRD pattern of PrCd2Hg6 for Cu Kα, from DFT lattice parameters and positions (PBE).
Neutral-atom scattering factors, no anomalous dispersion.

Principal peaks in the range 10° ≤ 2θ ≤ 80°, in order of rising 2θ:
| Position (°2θ) | I_rel |
| --- | --- |
| 31.3 | 21.1 |
| 31.6 | 22.0 |
| 34.4 | 20.4 |
| 34.5 | 19.1 |
| 34.7 | 100.0 |
| 35.1 | 44.6 |
| 37.3 | 14.4 |
| 37.8 | 13.1 |
| 56.4 | 12.8 |
| 62.8 | 14.7 |
| 67.7 | 21.1 |
| 68.2 | 14.2 |

Cell and atoms:
Cell: 15.6187 9.0060 3.2607 Å, 90.00 101.25 90.00°
Space group C2/m (No. 12)
Inequivalent atoms, fractional coordinates:
Pr  0.0000  0.0000  0.0000
Cd  0.1502  0.5000  0.1453
Hg  0.0000  0.3302  0.5000
Hg  0.1748  0.1696  0.6729

# 12
Simulated PXRD pattern of PrCd3Hg6 for Cu Kα, from DFT lattice parameters and positions (PBE).
Neutral-atom scattering factors, no anomalous dispersion.

Principal peaks in the range 10° ≤ 2θ ≤ 80°, in order of rising 2θ:
| Position (°2θ) | I_rel |
| --- | --- |
| 22.6 | 57.4 |
| 26.2 | 39.7 |
| 32.2 | 96.9 |
| 34.7 | 44.8 |
| 34.9 | 61.4 |
| 37.2 | 33.3 |
| 37.3 | 100.0 |
| 39.7 | 24.2 |
| 57.4 | 21.1 |
| 59.1 | 22.5 |
| 63.9 | 30.3 |
| 65.8 | 24.1 |

Cell and atoms:
Cell: 13.6136 13.6136 5.3023 Å, 90.00 90.00 120.00°
Space group R3m (No. 160, hexagonal axes)
Inequivalent atoms, fractional coordinates:
Pr  0.0000  0.0000  0.0000
Cd  0.1856  0.3713  0.6580
Hg  0.0769  0.5385  0.8157
Hg  0.1625  0.0812  0.5093

# 13
Simulated PXRD pattern of Pr4CdHg2Ru for Cu Kα, from DFT lattice parameters and positions (PBE).
Neutral-atom scattering factors, no anomalous dispersion.

Principal peaks in the range 10° ≤ 2θ ≤ 80°, in order of rising 2θ:
| Position (°2θ) | I_rel |
| --- | --- |
| 20.2 | 5.7 |
| 30.8 | 15.1 |
| 31.0 | 5.5 |
| 33.3 | 100.0 |
| 33.6 | 73.1 |
| 46.1 | 11.2 |
| 48.0 | 26.9 |
| 59.4 | 18.9 |
| 59.7 | 28.0 |
| 63.9 | 13.3 |
| 69.8 | 11.6 |
| 79.8 | 12.2 |

Cell and atoms:
Cell: 5.3886 5.3886 25.9819 Å, 90.00 90.00 120.00°
Space group R-3m (No. 166, hexagonal axes)
Inequivalent atoms, fractional coordinates:
Pr  0.0000  0.0000  0.1118
Pr  0.0000  0.0000  0.3665
Cd  0.0000  0.0000  0.5000
Hg  0.0000  0.0000  0.2379
Ru  0.0000  0.0000  0.0000